Simulated powder XRD pattern
Compound: Ac2MgIn6Co
Radiation: λ = 1.5418 Å (Cu Kα)
Structure: a cell relaxed with PBE
Intensities are scaled so that the largest is 100.

Principal peaks in the range 10 to 90 degrees two-theta, sorted by position:
- 3.122 Å, rel. 15.9, (0 0 2)
- 3.032 Å, rel. 18.7, (2 0 0)
- 2.775 Å, rel. 38.1, (0 1 2)
- 2.727 Å, rel. 100.0, (0 2 1)
- 2.151 Å, rel. 18.5, (2 1 1)
- 1.750 Å, rel. 20.8, (2 2 0)

Structural model:
abc: 7.001 7.001 6.243
angles: 90.00 90.00 120.00
Fractional coordinates of all 10 atoms:
Ac 0.333 0.667 0.177
Ac 0.667 0.333 0.823
Mg 0.000 0.000 0.000
In 0.188 0.376 0.693
In 0.188 0.812 0.693
In 0.376 0.188 0.307
In 0.624 0.812 0.693
In 0.812 0.188 0.307
In 0.812 0.624 0.307
Co 0.000 0.000 0.500